The following is a computed PXRD pattern of TaGeP3O12. It was derived from a cell relaxed with GGA-PBE, using Cu Ka.

Main lines, low angle first (2θ from 10° to 90°):
d/Å  Position (°2θ)  I (rel.)
6.149  14.40  63
4.417  20.10  100
4.282  20.74  75
3.698  24.07  36
3.075  29.04  59
2.784  32.15  49
2.497  35.96  30
2.472  36.34  24

Structural model:
a = 8.844 Å, b = 8.844 Å, c = 8.844 Å
α = 57.92°, β = 57.92°, γ = 57.92°
Fractional positions:
Ta (0.000, 0.000, 0.000)
Ta (0.500, 0.500, 0.500)
Ge (0.215, 0.215, 0.215)
Ge (0.715, 0.715, 0.715)
P (0.095, 0.835, 0.402)
P (0.335, 0.595, 0.902)
P (0.402, 0.095, 0.835)
P (0.595, 0.902, 0.335)
P (0.835, 0.402, 0.095)
P (0.902, 0.335, 0.595)
O (0.007, 0.374, 0.122)
O (0.079, 0.302, 0.423)
O (0.080, 0.859, 0.225)
O (0.122, 0.007, 0.374)
O (0.155, 0.774, 0.929)
O (0.225, 0.080, 0.859)
O (0.274, 0.655, 0.429)
O (0.302, 0.423, 0.079)
O (0.359, 0.580, 0.725)
O (0.374, 0.122, 0.007)
O (0.423, 0.079, 0.302)
O (0.429, 0.274, 0.655)
O (0.507, 0.622, 0.874)
O (0.579, 0.923, 0.802)
O (0.580, 0.725, 0.359)
O (0.622, 0.874, 0.507)
O (0.655, 0.429, 0.274)
O (0.725, 0.359, 0.580)
O (0.774, 0.929, 0.155)
O (0.802, 0.579, 0.923)
O (0.859, 0.225, 0.080)
O (0.874, 0.507, 0.622)
O (0.923, 0.802, 0.579)
O (0.929, 0.155, 0.774)